# 1
This entry pairs a crystal structure of Pr6Dy3Sc with its computed XRD peak list. Radiation: Cu Kα X-rays. Structure: a structure optimized by DFT (GGA-PBE).
Neutral-atom scattering factors, no anomalous dispersion.

Principal peaks in the range 2θ from 10° to 90°, sorted by position:
2θ 27.8, I = 31; 2θ 28.2, I = 69; 2θ 28.3, I = 42; 2θ 29.7, I = 42; 2θ 31.1, I = 100; 2θ 31.3, I = 79; 2θ 33.5, I = 22; 2θ 33.9, I = 47

Atomic structure:
abc: 11.155 11.155 6.336
angles: 90.00 90.00 120.38
Atoms (fractional coordinates):
1 Pr 0.043 0.957 0.500
2 Pr 0.057 0.479 0.943
3 Pr 0.278 0.722 0.242
4 Pr 0.291 0.376 0.132
5 Pr 0.376 0.291 0.632
6 Pr 0.479 0.057 0.443
7 Pr 0.521 0.943 0.943
8 Pr 0.624 0.709 0.132
9 Pr 0.709 0.624 0.632
10 Pr 0.722 0.278 0.742
11 Pr 0.943 0.521 0.443
12 Pr 0.957 0.043 0.000
13 Dy 0.052 0.277 0.546
14 Dy 0.277 0.052 0.046
15 Dy 0.385 0.615 0.661
16 Dy 0.615 0.385 0.161
17 Dy 0.723 0.948 0.546
18 Dy 0.948 0.723 0.046
19 Sc 0.200 0.800 0.708
20 Sc 0.800 0.200 0.208

***

# 2
This entry pairs a crystal structure of Er5Cu4Ni with its computed XRD peak list. Radiation: Cu Kα X-rays. Structure: a structure optimized by DFT (GGA-PBE).
Neutral-atom scattering factors, no anomalous dispersion.

Principal peaks in the range 2θ from 10° to 90°, sorted by position:
2θ 25.8, I = 11; 2θ 26.2, I = 21; 2θ 37.1, I = 100; 2θ 37.4, I = 49; 2θ 53.9, I = 17; 2θ 66.7, I = 17; 2θ 67.3, I = 34; 2θ 79.0, I = 10

Atomic structure:
abc: 3.399 3.399 17.281
angles: 90.00 90.00 90.00
Atoms (fractional coordinates):
1 Er 0.000 0.000 0.000
2 Er 0.000 0.000 0.203
3 Er 0.000 0.000 0.405
4 Er 0.000 0.000 0.595
5 Er 0.000 0.000 0.797
6 Cu 0.500 0.500 0.101
7 Cu 0.500 0.500 0.303
8 Cu 0.500 0.500 0.697
9 Cu 0.500 0.500 0.899
10 Ni 0.500 0.500 0.500

***

# 3
This entry pairs a crystal structure of Y3SiTe with its computed XRD peak list. Radiation: Cu Kα X-rays. Structure: a structure optimized by DFT (GGA-PBE).
Neutral-atom scattering factors, no anomalous dispersion.

Principal peaks in the range 2θ from 10° to 90°, sorted by position:
2θ 29.0, I = 23; 2θ 31.1, I = 100; 2θ 35.0, I = 51; 2θ 35.4, I = 17; 2θ 37.5, I = 36; 2θ 37.9, I = 19; 2θ 43.1, I = 23; 2θ 69.3, I = 20

Atomic structure:
abc: 9.276 9.276 6.152
angles: 90.00 90.00 150.00
Atoms (fractional coordinates):
1 Y 0.000 0.000 0.000
2 Y 0.000 0.000 0.500
3 Y 0.200 0.800 0.750
4 Y 0.389 0.611 0.750
5 Y 0.611 0.389 0.250
6 Y 0.800 0.200 0.250
7 Si 0.192 0.808 0.250
8 Si 0.808 0.192 0.750
9 Te 0.422 0.578 0.250
10 Te 0.578 0.422 0.750